# In2GaBr
Simulated X-ray diffraction stick pattern, copper Kα. Input: a crystal structure in Alexandria, relaxed with PBE.

Structure:
```
data_In2GaBr
_cell_length_a 3.6165
_cell_length_b 6.4263
_cell_length_c 9.9523
_cell_angle_alpha 85.93
_cell_angle_beta 80.67
_cell_angle_gamma 89.91
_symmetry_space_group_name_H-M 'P 1'
_symmetry_Int_Tables_number 1
loop_
_symmetry_equiv_pos_as_xyz
'x,y,z'
loop_
_atom_site_label
_atom_site_fract_x
_atom_site_fract_y
_atom_site_fract_z
In1 0.0000 0.0000 0.0000
In2 0.0551 0.4328 0.8844
In3 0.4086 0.5461 0.1665
In4 0.7721 0.6694 0.4293
Ga1 0.1792 0.8689 0.6294
Ga2 0.5841 0.7769 0.8308
Br1 0.1929 0.2852 0.6020
Br2 0.3962 0.0573 0.2430
```

Main lines, low angle first (10 to 80 degrees two-theta):
h k l	d_spacing	I (rel.)
1 -1 0	3.134	27
0 1 3	2.998	64
0 2 -1	2.983	100
1 0 -2	2.684	57
1 0 3	2.631	52
1 -1 3	2.395	43
-1 2 1	2.299	31
1 2 2	2.284	30
0 3 2	2.012	31
2 0 1	1.808	34